Record 1
Structure and simulated powder XRD pattern of Pr3Pt2 (DFT lattice parameters and positions (PBE); Cu Kα X-rays).

Most intense lines, 2θ from 10° to 80°, sorted by position:
hkl  d_spacing  Rel. int.
1 0 1  7.184  280
1 1 0  4.571  182
2 1 1  2.947  406
0 0 6  2.851  401
1 2 2  2.824  1000
3 0 0  2.639  633
3 -1 4  2.452  688
1 1 6  2.419  694
4 -3 1  2.178  225
4 -1 5  1.848  209
1 2 8  1.740  183
4 -3 10  1.349  192

abc: 9.1410 9.1410 17.1078
angles: 90.00 90.00 120.00
Space group R-3 (No. 148, hexagonal axes)
One atom of each set of equivalent atoms:
Pr1 0.0000 0.0000 0.0000
Pr2 0.0000 0.0000 0.2023
Pr3 0.0162 0.2578 0.5922
Pt1 0.0210 0.6108 0.5694



Record 2
Structure and simulated powder XRD pattern of Pr7Pt3 (DFT lattice parameters and positions (PBE); Cu Kα X-rays).

Most intense lines, 2θ from 10° to 80°, sorted by position:
hkl  d_spacing  Rel. int.
1 1 1  5.269  344
1 1 2  3.070  468
3 1 1  2.987  1000
3 3 0  2.960  299
2 0 2  2.758  176
3 3 1  2.697  885
2 2 2  2.634  830
2 6 0  2.564  792
1 5 2  2.343  335
2 2 3  1.958  223
5 1 1  1.946  194
3 3 3  1.756  341

abc: 10.2695 17.7362 6.5446
angles: 90.00 90.00 90.00
Space group Cmc2_1 (No. 36)
One atom of each set of equivalent atoms:
Pr1 0.0000 0.0378 0.0000
Pr2 0.0000 0.1666 0.4837
Pr3 0.0000 0.3728 0.6931
Pr4 0.1903 0.4365 0.1936
Pr5 0.1934 0.2311 0.0003
Pt1 0.0000 0.3108 0.2524
Pt2 0.2162 0.0945 0.2526



Record 3
Structure and simulated powder XRD pattern of PrPt2 (DFT lattice parameters and positions (PBE); Cu Kα X-rays).

Most intense lines, 2θ from 10° to 80°, sorted by position:
hkl  d_spacing  Rel. int.
1 1 1  4.527  167
2 2 0  2.772  184
3 1 1  2.364  1000
2 2 2  2.263  508
4 0 0  1.960  100
3 3 1  1.799  44
4 2 2  1.601  71
5 1 1  1.509  333
4 4 0  1.386  305
5 3 1  1.325  33
6 2 0  1.240  30

abc: 7.8409 7.8409 7.8409
angles: 90.00 90.00 90.00
Space group Fd-3m (No. 227, origin choice 2)
One atom of each set of equivalent atoms:
Pr1 0.1250 0.1250 0.1250
Pt1 0.0000 0.0000 0.5000



Number 3 is which compound?
PrPt2



Copy entry 1 word for word.
Structure and simulated powder XRD pattern of Pr3Pt2 (DFT lattice parameters and positions (PBE); Cu Kα X-rays).

Most intense lines, 2θ from 10° to 80°, sorted by position:
hkl  d_spacing  Rel. int.
1 0 1  7.184  280
1 1 0  4.571  182
2 1 1  2.947  406
0 0 6  2.851  401
1 2 2  2.824  1000
3 0 0  2.639  633
3 -1 4  2.452  688
1 1 6  2.419  694
4 -3 1  2.178  225
4 -1 5  1.848  209
1 2 8  1.740  183
4 -3 10  1.349  192

abc: 9.1410 9.1410 17.1078
angles: 90.00 90.00 120.00
Space group R-3 (No. 148, hexagonal axes)
One atom of each set of equivalent atoms:
Pr1 0.0000 0.0000 0.0000
Pr2 0.0000 0.0000 0.2023
Pr3 0.0162 0.2578 0.5922
Pt1 0.0210 0.6108 0.5694